No. 1
Calculated powder X-ray diffraction pattern of BaMg14Cr for Cu Kα X-rays, from a GGA-PBE-relaxed structure.
Intensities are scaled so that the largest is 100.

The 8 most intense peaks (2θ = 10–90°), in order of falling intensity:
2θ (°), I/Imax, index
36.12, 100, 2 2 2
35.50, 57, 2 0 4
33.93, 39, 4 0 0
31.75, 31, 0 2 2
17.53, 24, 1 0 2
62.16, 20, 6 2 2
66.83, 19, 4 2 6
47.16, 19, 4 2 2

Cell and atoms:
Cell lengths 10.568, 6.462, 11.521 Å; angles 90.00, 90.00, 90.00 degrees
Space group Amm2 (No. 38)
Inequivalent atoms, fractional coordinates:
Ba (0.000, 0.000, 0.000) [2 per cell]
Mg (0.000, 0.241, 0.251) [4 per cell]
Mg (0.238, 0.000, 0.657) [4 per cell]
Mg (0.262, 0.241, 0.408) [8 per cell]
Mg (0.267, 0.000, 0.166) [4 per cell]
Mg (0.500, 0.000, 0.498) [2 per cell]
Mg (0.500, 0.000, 0.995) [2 per cell]
Mg (0.500, 0.246, 0.745) [4 per cell]
Cr (0.000, 0.000, 0.490) [2 per cell]

---

No. 2
Calculated powder X-ray diffraction pattern of Ba3CrN3 for Cu Kα X-rays, from a GGA-PBE-relaxed structure.
Intensities are scaled so that the largest is 100.

The 8 most intense peaks (2θ = 10–90°), in order of falling intensity:
2θ (°), I/Imax, index
26.64, 100, 1 1 1
29.36, 57, 2 0 1
32.44, 45, 1 2 0
32.56, 35, 0 0 2
46.63, 31, 1 2 2
57.51, 21, 2 3 1
36.93, 20, 3 0 0
50.04, 18, 3 0 2

Cell and atoms:
Cell lengths 8.4319, 8.4319, 5.4993 Å; angles 90.00, 90.00, 120.00 degrees
Space group P6_3/m (No. 176)
Inequivalent atoms, fractional coordinates:
Ba (0.0782, 0.3626, 0.2500) [6 per cell]
Cr (0.3333, 0.6667, 0.7500) [2 per cell]
N (0.1359, 0.4550, 0.7500) [6 per cell]

---

No. 3
Calculated powder X-ray diffraction pattern of BaCr2N2 for Cu Kα X-rays, from a GGA-PBE-relaxed structure.
Intensities are scaled so that the largest is 100.

The 8 most intense peaks (2θ = 10–90°), in order of falling intensity:
2θ (°), I/Imax, index
33.38, 100, 0 1 1
40.41, 37, 1 0 2
54.64, 23, 1 1 0
25.59, 19, 0 0 2
62.15, 17, 1 0 4
50.30, 15, 0 1 3
38.81, 14, 0 0 3
69.02, 13, 1 1 3

Cell and atoms:
Cell lengths 3.3597, 3.3597, 6.9609 Å; angles 90.00, 90.00, 120.00 degrees
Space group P-3m1 (No. 164)
Inequivalent atoms, fractional coordinates:
Ba (0.0000, 0.0000, 0.0000) [1 per cell]
Cr (0.3333, 0.6667, 0.3926) [2 per cell]
N (0.3333, 0.6667, 0.6763) [2 per cell]

---

No. 4
Calculated powder X-ray diffraction pattern of BaCrN2 for Cu Kα X-rays, from a GGA-PBE-relaxed structure.
Intensities are scaled so that the largest is 100.

The 8 most intense peaks (2θ = 10–90°), in order of falling intensity:
2θ (°), I/Imax, index
30.04, 100, 1 3 1
30.39, 45, 2 0 0
28.48, 44, 1 1 2
53.79, 19, 3 3 1
37.87, 19, 0 2 3
22.73, 17, 0 0 2
38.29, 16, 2 0 2
38.56, 15, 1 1 3

Cell and atoms:
Cell lengths 5.882, 11.522, 7.823 Å; angles 90.00, 90.00, 90.00 degrees
Space group Cmce (No. 64)
Inequivalent atoms, fractional coordinates:
Ba (0.000, 0.159, 0.060) [8 per cell]
Cr (0.000, 0.051, 0.636) [8 per cell]
N (0.000, 0.106, 0.411) [8 per cell]
N (0.250, 0.093, 0.750) [8 per cell]

---

No. 5
Calculated powder X-ray diffraction pattern of BaCr4S7 for Cu Kα X-rays, from a GGA-PBE-relaxed structure.
Intensities are scaled so that the largest is 100.

The 8 most intense peaks (2θ = 10–90°), in order of falling intensity:
2θ (°), I/Imax, index
33.99, 100, 2 4 -1
32.36, 89, 2 3 1
35.70, 78, 0 5 2
34.02, 77, 2 4 1
46.99, 67, 2 9 1
26.41, 66, 2 1 0
53.15, 66, 2 1 -3
41.03, 58, 2 7 1

Cell and atoms:
Cell lengths 6.824, 22.942, 6.013 Å; angles 90.00, 90.04, 90.00 degrees
Space group P2_1/c (No. 14)
Inequivalent atoms, fractional coordinates:
Ba (0.127, 0.173, 0.110) [4 per cell]
Cr (0.125, 0.501, 0.236) [4 per cell]
Cr (0.371, 0.746, 0.116) [4 per cell]
Cr (0.372, 0.625, 0.745) [4 per cell]
Cr (0.376, 0.007, 0.254) [4 per cell]
S (0.122, 0.060, 0.419) [4 per cell]
S (0.128, 0.556, 0.585) [4 per cell]
S (0.140, 0.701, 0.863) [4 per cell]
S (0.372, 0.559, 0.063) [4 per cell]
S (0.372, 0.670, 0.385) [4 per cell]
S (0.377, 0.059, 0.905) [4 per cell]
S (0.399, 0.201, 0.636) [4 per cell]

---

No. 6
Calculated powder X-ray diffraction pattern of BaCrS2 for Cu Kα X-rays, from a GGA-PBE-relaxed structure.
Intensities are scaled so that the largest is 100.

The 8 most intense peaks (2θ = 10–90°), in order of falling intensity:
2θ (°), I/Imax, index
27.22, 100, 1 1 0
38.87, 69, 2 0 0
27.32, 63, 1 0 2
33.58, 45, 1 1 2
21.47, 43, 1 0 1
35.09, 42, 1 0 3
29.12, 40, 0 0 3
49.29, 35, 2 0 3

Cell and atoms:
Cell lengths 4.634, 4.634, 9.200 Å; angles 90.00, 90.00, 90.00 degrees
Space group P4/nmm (No. 129, origin choice 2)
Inequivalent atoms, fractional coordinates:
Ba (0.250, 0.250, 0.191) [2 per cell]
Cr (0.250, 0.250, 0.586) [2 per cell]
S (0.250, 0.250, 0.846) [2 per cell]
S (0.250, 0.750, 0.500) [2 per cell]

---

No. 7
Calculated powder X-ray diffraction pattern of BaCr10S16 for Cu Kα X-rays, from a GGA-PBE-relaxed structure.
Intensities are scaled so that the largest is 100.

The 8 most intense peaks (2θ = 10–90°), in order of falling intensity:
2θ (°), I/Imax, index
33.22, 100, 2 -1 2
52.89, 67, 2 5 2
41.36, 62, 2 2 4
10.58, 49, 0 0 1
47.49, 46, 2 2 -2
32.82, 46, 0 3 2
34.60, 40, -2 1 1
20.49, 39, 0 2 1

Cell and atoms:
Cell lengths 6.948, 9.153, 9.313 Å; angles 72.42, 68.23, 79.12 degrees
Space group P-1 (No. 2)
Inequivalent atoms, fractional coordinates:
Ba (0.000, 0.000, 0.000) [1 per cell]
Cr (0.000, 0.000, 0.500) [1 per cell]
Cr (0.159, 0.317, 0.524) [2 per cell]
Cr (0.184, 0.591, 0.836) [2 per cell]
Cr (0.317, 0.403, 0.164) [2 per cell]
Cr (0.342, 0.682, 0.473) [2 per cell]
Cr (0.500, 0.000, 0.500) [1 per cell]
S (0.041, 0.526, 0.656) [2 per cell]
S (0.127, 0.827, 0.328) [2 per cell]
S (0.156, 0.342, 0.010) [2 per cell]
S (0.212, 0.849, 0.652) [2 per cell]
S (0.287, 0.152, 0.349) [2 per cell]
S (0.339, 0.655, 0.992) [2 per cell]
S (0.370, 0.172, 0.673) [2 per cell]
S (0.460, 0.474, 0.344) [2 per cell]